(1)
# Be2AlSb
Theoretical powder diffraction line list, Cu Kα. Input: a crystal structure in Alexandria, relaxed with PBE.
No peak broadening, texture or thermal motion is included.

Peak list (10 most intense, 2θ = 5–70°, low angle first)
- (0 0 1), 2θ 16.69, intensity 833
- (2 0 0), 2θ 23.13, intensity 1000
- (2 0 -1), 2θ 24.95, intensity 460
- (1 1 0), 2θ 31.48, intensity 443
- (0 0 2), 2θ 33.75, intensity 425
- (1 1 -1), 2θ 34.38, intensity 750
- (2 0 -2), 2θ 35.95, intensity 414
- (1 1 1), 2θ 37.24, intensity 795
- (3 1 -1), 2θ 46.07, intensity 498
- (2 0 2), 2θ 46.18, intensity 350

Unit cell a=7.9445 b=3.0581 c=5.4878 alpha=90.00 beta=104.53 gamma=90.00
Space group C2/m (No. 12)
Asymmetric unit:
Be1 0.2479 0.0000 0.1604 [4 per cell]
Al1 0.0000 0.5000 0.0000 [2 per cell]
Sb1 0.0000 0.0000 0.5000 [2 per cell]

---

(2)
# BeAl4Sb
Theoretical powder diffraction line list, Cu Kα. Input: a crystal structure in Alexandria, relaxed with PBE.
No peak broadening, texture or thermal motion is included.

Peak list (9 most intense, 2θ = 5–70°, low angle first)
- (1 1 1), 2θ 20.25, intensity 514
- (2 0 0), 2θ 23.42, intensity 471
- (2 2 0), 2θ 33.37, intensity 469
- (3 1 1), 2θ 39.34, intensity 1000
- (2 2 2), 2θ 41.17, intensity 267
- (3 3 1), 2θ 52.52, intensity 126
- (4 2 0), 2θ 53.99, intensity 190
- (4 2 2), 2θ 59.63, intensity 170
- (5 1 1), 2θ 63.66, intensity 316

Unit cell a=7.5956 b=7.5956 c=7.5956 alpha=90.00 beta=90.00 gamma=90.00
Space group F-43m (No. 216)
Asymmetric unit:
Be1 0.0000 0.0000 0.0000 [4 per cell]
Al1 0.1254 0.1254 0.3746 [16 per cell]
Sb1 0.2500 0.2500 0.7500 [4 per cell]

---

(3)
# BeAl2Si
Theoretical powder diffraction line list, Cu Kα. Input: a crystal structure in Alexandria, relaxed with PBE.
No peak broadening, texture or thermal motion is included.

Peak list (10 most intense, 2θ = 5–70°, low angle first)
- (0 0 1), 2θ 11.98, intensity 80
- (0 0 2), 2θ 24.10, intensity 53
- (1 0 0), 2θ 32.69, intensity 68
- (1 0 1), 2θ 34.93, intensity 223
- (0 0 3), 2θ 36.50, intensity 130
- (1 0 2), 2θ 41.02, intensity 1000
- (1 1 0), 2θ 46.90, intensity 368
- (0 0 4), 2θ 49.36, intensity 105
- (1 1 3), 2θ 60.85, intensity 114
- (2 0 0), 2θ 68.50, intensity 118

Unit cell a=2.7397 b=2.7397 c=7.3856 alpha=90.00 beta=90.00 gamma=90.00
Space group P4mm (No. 99)
Asymmetric unit:
Be1 0.0000 0.0000 0.0000 [1 per cell]
Al1 0.0000 0.0000 0.4773 [1 per cell]
Al2 0.5000 0.5000 0.7661 [1 per cell]
Si1 0.5000 0.5000 0.2052 [1 per cell]

---

(4)
# Be2AlSi
Theoretical powder diffraction line list, Cu Kα. Input: a crystal structure in Alexandria, relaxed with PBE.
No peak broadening, texture or thermal motion is included.

Peak list (10 most intense, 2θ = 5–70°, low angle first)
- (0 0 1), 2θ 18.61, intensity 520
- (-1 1 1), 2θ 32.33, intensity 755
- (0 1 -2), 2θ 33.26, intensity 752
- (1 1 0), 2θ 33.91, intensity 1000
- (1 -2 1), 2θ 37.83, intensity 535
- (1 -2 0), 2θ 38.52, intensity 371
- (0 2 -2), 2θ 39.43, intensity 402
- (1 2 -2), 2θ 45.73, intensity 335
- (2 0 -2), 2θ 50.00, intensity 357
- (2 -1 1), 2θ 50.76, intensity 422

Unit cell a=4.2087 b=5.3706 c=5.5145 alpha=114.33 beta=102.00 gamma=100.38
Space group P-1 (No. 2)
Asymmetric unit:
Be1 0.0932 0.0446 0.3405 [2 per cell]
Be2 0.3987 0.9526 0.6502 [2 per cell]
Al1 0.0713 0.4757 0.7520 [2 per cell]
Si1 0.3231 0.2291 0.0837 [2 per cell]

---

(5)
# Be2AlSi
Theoretical powder diffraction line list, Cu Kα. Input: a crystal structure in Alexandria, relaxed with PBE.
No peak broadening, texture or thermal motion is included.

Peak list (9 most intense, 2θ = 5–70°, low angle first)
- (0 0 2), 2θ 25.23, intensity 464
- (1 1 0), 2θ 34.64, intensity 401
- (1 1 2), 2θ 43.34, intensity 1000
- (0 2 0), 2θ 48.43, intensity 178
- (2 0 0), 2θ 51.13, intensity 151
- (0 0 4), 2θ 51.81, intensity 145
- (0 2 2), 2θ 55.39, intensity 101
- (2 0 2), 2θ 57.85, intensity 89
- (1 1 4), 2θ 63.83, intensity 132

Unit cell a=3.5730 b=3.7588 c=7.0585 alpha=90.00 beta=90.00 gamma=90.00
Space group Immm (No. 71)
Asymmetric unit:
Be1 0.0000 0.0000 0.2468 [4 per cell]
Al1 0.0000 0.5000 0.0000 [2 per cell]
Si1 0.0000 0.5000 0.5000 [2 per cell]

---

(6)
# BeAlTc4
Theoretical powder diffraction line list, Cu Kα. Input: a crystal structure in Alexandria, relaxed with PBE.
No peak broadening, texture or thermal motion is included.

Peak list (8 most intense, 2θ = 5–70°, low angle first)
- (1 1 1), 2θ 21.47, intensity 1000
- (2 0 0), 2θ 24.84, intensity 8
- (2 2 0), 2θ 35.41, intensity 14
- (3 1 1), 2θ 41.79, intensity 822
- (2 2 2), 2θ 43.74, intensity 771
- (4 0 0), 2θ 50.95, intensity 309
- (3 3 1), 2θ 55.90, intensity 217
- (5 1 1), 2θ 67.93, intensity 251

Unit cell a=7.1697 b=7.1697 c=7.1697 alpha=90.00 beta=90.00 gamma=90.00
Space group F-43m (No. 216)
Asymmetric unit:
Be1 0.0000 0.0000 0.0000 [4 per cell]
Al1 0.2500 0.2500 0.2500 [4 per cell]
Tc1 0.1253 0.1253 0.6253 [16 per cell]

---

(7)
# ThBeAl
Theoretical powder diffraction line list, Cu Kα. Input: a crystal structure in Alexandria, relaxed with PBE.
No peak broadening, texture or thermal motion is included.

Peak list (10 most intense, 2θ = 5–70°, low angle first)
- (1 0 1), 2θ 22.21, intensity 840
- (0 0 4), 2θ 24.70, intensity 376
- (1 0 3), 2θ 28.35, intensity 630
- (1 1 2), 2θ 32.85, intensity 1000
- (1 0 5), 2θ 37.95, intensity 373
- (2 0 0), 2θ 43.45, intensity 265
- (1 1 6), 2θ 48.92, intensity 213
- (1 0 7), 2θ 49.34, intensity 396
- (2 0 4), 2θ 50.62, intensity 285
- (2 1 3), 2θ 52.70, intensity 235

Unit cell a=4.1657 b=4.1657 c=14.4173 alpha=90.00 beta=90.00 gamma=90.00
Space group I4_1md (No. 109)
Asymmetric unit:
Th1 0.0000 0.0000 0.0000 [4 per cell]
Be1 0.0000 0.0000 0.4158 [4 per cell]
Al1 0.0000 0.0000 0.5829 [4 per cell]

---

(8)
# TiBe17Al
Theoretical powder diffraction line list, Cu Kα. Input: a crystal structure in Alexandria, relaxed with PBE.
No peak broadening, texture or thermal motion is included.

Peak list (10 most intense, 2θ = 5–70°, low angle first)
- (1 0 1), 2θ 16.18, intensity 889
- (1 1 0), 2θ 24.22, intensity 702
- (0 2 1), 2θ 29.26, intensity 339
- (1 1 3), 2θ 34.95, intensity 1000
- (1 0 4), 2θ 36.24, intensity 394
- (3 0 0), 2θ 42.61, intensity 595
- (0 2 4), 2θ 44.07, intensity 395
- (2 2 0), 2θ 49.61, intensity 578
- (0 3 3), 2θ 49.93, intensity 967
- (0 0 6), 2θ 50.91, intensity 580

Unit cell a=7.3503 b=7.3503 c=10.7645 alpha=90.00 beta=90.00 gamma=120.00
Space group R3m (No. 160, hexagonal axes)
Asymmetric unit:
Ti1 0.0000 0.0000 0.0000 [3 per cell]
Be1 0.0000 0.0000 0.5623 [3 per cell]
Be2 0.0000 0.0000 0.7641 [3 per cell]
Be3 0.0003 0.5002 0.5054 [9 per cell]
Be4 0.0053 0.5026 0.8193 [9 per cell]
Be5 0.0359 0.3675 0.3295 [18 per cell]
Be6 0.1706 0.3411 0.5006 [9 per cell]
Al1 0.0000 0.0000 0.2986 [3 per cell]

---

(9)
# Ti4BeAl
Theoretical powder diffraction line list, Cu Kα. Input: a crystal structure in Alexandria, relaxed with PBE.
No peak broadening, texture or thermal motion is included.

Peak list (10 most intense, 2θ = 5–70°, low angle first)
- (1 0 1), 2θ 20.68, intensity 186
- (0 1 2), 2θ 30.90, intensity 153
- (1 1 2), 2θ 35.20, intensity 574
- (0 2 0), 2θ 36.14, intensity 253
- (0 2 1), 2θ 38.36, intensity 145
- (2 1 1), 2θ 40.13, intensity 1000
- (1 0 3), 2θ 41.59, intensity 147
- (2 0 2), 2θ 42.03, intensity 787
- (0 1 3), 2θ 42.20, intensity 524
- (1 3 2), 2θ 64.38, intensity 152

Unit cell a=5.3862 b=4.9714 c=7.1187 alpha=90.00 beta=90.00 gamma=90.00
Space group Pmna (No. 53)
Asymmetric unit:
Ti1 0.0000 0.2365 0.1147 [4 per cell]
Ti2 0.2500 0.3102 0.7500 [4 per cell]
Be1 0.0000 0.5000 0.5000 [2 per cell]
Al1 0.0000 0.0000 0.5000 [2 per cell]

---

(10)
# Be2AlTl
Theoretical powder diffraction line list, Cu Kα. Input: a crystal structure in Alexandria, relaxed with PBE.
No peak broadening, texture or thermal motion is included.

Peak list (10 most intense, 2θ = 5–70°, low angle first)
- (0 0 1), 2θ 15.47, intensity 673
- (1 0 0), 2θ 27.27, intensity 1000
- (0 0 2), 2θ 31.24, intensity 236
- (1 0 1), 2θ 31.51, intensity 881
- (1 0 2), 2θ 41.94, intensity 689
- (1 1 0), 2θ 48.20, intensity 251
- (1 1 1), 2θ 50.93, intensity 214
- (1 0 3), 2θ 55.77, intensity 168
- (1 1 2), 2θ 58.57, intensity 244
- (2 0 2), 2θ 65.77, intensity 185

Unit cell a=3.7758 b=3.7758 c=5.7263 alpha=90.00 beta=90.00 gamma=120.00
Space group P6mm (No. 183)
Asymmetric unit:
Be1 0.3333 0.6667 0.0000 [2 per cell]
Al1 0.0000 0.0000 0.1808 [1 per cell]
Tl1 0.0000 0.0000 0.6613 [1 per cell]

---

(11)
# Be2AlTl
Theoretical powder diffraction line list, Cu Kα. Input: a crystal structure in Alexandria, relaxed with PBE.
No peak broadening, texture or thermal motion is included.

Peak list (10 most intense, 2θ = 5–70°, low angle first)
- (0 0 1), 2θ 20.37, intensity 878
- (0 1 0), 2θ 23.20, intensity 651
- (1 0 0), 2θ 25.81, intensity 606
- (1 0 -1), 2θ 26.18, intensity 565
- (0 1 1), 2θ 31.06, intensity 1000
- (1 1 0), 2θ 34.98, intensity 695
- (1 1 -1), 2θ 35.26, intensity 707
- (1 0 1), 2θ 38.92, intensity 290
- (1 0 -2), 2θ 39.68, intensity 281
- (1 2 0), 2θ 54.77, intensity 296

Unit cell a=3.7285 b=3.8335 c=4.7099 alpha=90.00 beta=112.21 gamma=90.00
Space group Pm (No. 6)
Asymmetric unit:
Be1 0.0000 0.0000 0.0000 [1 per cell]
Be2 0.1248 0.5000 0.2518 [1 per cell]
Al1 0.4322 0.5000 0.8543 [1 per cell]
Tl1 0.7085 0.0000 0.4309 [1 per cell]

---

(12)
# UBeAl
Theoretical powder diffraction line list, Cu Kα. Input: a crystal structure in Alexandria, relaxed with PBE.
No peak broadening, texture or thermal motion is included.

Peak list (10 most intense, 2θ = 5–70°, low angle first)
- (0 0 2), 2θ 17.82, intensity 1000
- (1 1 1), 2θ 23.32, intensity 452
- (0 2 2), 2θ 28.82, intensity 281
- (1 1 3), 2θ 34.68, intensity 348
- (0 0 4), 2θ 36.10, intensity 214
- (2 0 0), 2θ 37.15, intensity 248
- (1 3 1), 2θ 39.95, intensity 757
- (2 0 2), 2θ 41.49, intensity 286
- (1 3 3), 2θ 47.89, intensity 319
- (1 3 5), 2θ 61.40, intensity 227

Unit cell a=4.8408 b=7.9171 c=9.9530 alpha=90.00 beta=90.00 gamma=90.00
Space group Fmmm (No. 69)
Asymmetric unit:
U1 0.0000 0.1719 0.0000 [8 per cell]
Be1 0.2500 0.2500 0.2500 [8 per cell]
Al1 0.0000 0.0000 0.3303 [8 per cell]

---

(13)
# BeAl2V2
Theoretical powder diffraction line list, Cu Kα. Input: a crystal structure in Alexandria, relaxed with PBE.
No peak broadening, texture or thermal motion is included.

Peak list (10 most intense, 2θ = 5–70°, low angle first)
- (1 1 0), 2θ 20.85, intensity 252
- (2 0 0), 2θ 29.66, intensity 69
- (2 1 0), 2θ 33.26, intensity 83
- (2 1 1), 2θ 40.85, intensity 1000
- (0 0 2), 2θ 47.10, intensity 147
- (3 1 0), 2θ 47.74, intensity 187
- (4 0 0), 2θ 61.58, intensity 71
- (3 3 0), 2θ 65.77, intensity 68
- (4 1 1), 2θ 68.69, intensity 67
- (3 1 2), 2θ 69.32, intensity 114

Unit cell a=6.0241 b=6.0241 c=3.8591 alpha=90.00 beta=90.00 gamma=90.00
Space group P4/mbm (No. 127)
Asymmetric unit:
Be1 0.0000 0.0000 0.0000 [2 per cell]
Al1 0.1481 0.3519 0.0000 [4 per cell]
V1 0.1493 0.6493 0.5000 [4 per cell]

---

(14)
# YBeAlZn6
Theoretical powder diffraction line list, Cu Kα. Input: a crystal structure in Alexandria, relaxed with PBE.
No peak broadening, texture or thermal motion is included.

Peak list (10 most intense, 2θ = 5–70°, low angle first)
- (1 2 1), 2θ 26.10, intensity 141
- (2 2 0), 2θ 34.40, intensity 1000
- (1 2 3), 2θ 34.93, intensity 381
- (1 1 4), 2θ 36.87, intensity 205
- (2 1 3), 2θ 38.21, intensity 257
- (0 2 4), 2θ 38.83, intensity 587
- (0 4 0), 2θ 42.14, intensity 574
- (2 0 4), 2θ 42.80, intensity 313
- (3 0 3), 2θ 48.39, intensity 189
- (2 4 4), 2θ 61.65, intensity 163

Unit cell a=6.5691 b=8.5743 c=11.0309 alpha=90.00 beta=90.00 gamma=90.00
Space group Imma (No. 74)
Asymmetric unit:
Y1 0.0000 0.2500 0.1994 [4 per cell]
Be1 0.0000 0.0000 0.0000 [4 per cell]
Al1 0.2500 0.2500 0.7500 [4 per cell]
Zn1 0.0000 0.2500 0.5033 [4 per cell]
Zn2 0.0000 0.2500 0.9304 [4 per cell]
Zn3 0.1994 0.0076 0.3788 [16 per cell]